Simulated PXRD pattern
Compound: Rb2AgTeBr6
Radiation: Cu Kα (weighted mean of Kα1 and Kα2)
Structure: the GGA-PBE geometry in Alexandria

Most intense lines, 15 to 90 degrees two-theta, in order of rising 2θ:
d_spacing	Position (°2θ)	I/Imax
5.630	15.7	36
3.991	22.3	55
3.259	27.4	68
2.836	31.5	51
2.815	31.8	100
1.998	45.4	72
1.991	45.6	36
1.699	54.0	19
1.629	56.5	37
1.151	84.1	24

Atomic structure:
abc: 7.992 7.992 7.992
angles: 120.25 120.25 89.57
Fractional positions:
Rb1 0.250 0.750 0.500
Rb2 0.750 0.250 0.500
Ag1 0.000 0.000 0.000
Te1 0.500 0.500 0.000
Br1 0.245 0.245 0.489
Br2 0.245 0.755 0.000
Br3 0.254 0.254 0.000
Br4 0.746 0.746 0.000
Br5 0.755 0.245 0.000
Br6 0.755 0.755 0.511

=====

Simulated PXRD pattern
Compound: Rb2TlAg2Br7
Radiation: Cu Kα (weighted mean of Kα1 and Kα2)
Structure: the GGA-PBE geometry in Alexandria

Most intense lines, 15 to 90 degrees two-theta, in order of rising 2θ:
d_spacing	Position (°2θ)	I/Imax
3.875	23.0	35
3.848	23.1	47
3.361	26.5	26
2.951	30.3	73
2.759	32.4	36
2.721	32.9	100
1.938	46.9	50
1.924	47.2	36
1.612	57.1	24
1.578	58.5	26

Atomic structure:
abc: 5.442 5.442 14.319
angles: 100.91 100.91 90.00
Fractional positions:
Rb1 0.177 0.177 0.357
Rb2 0.823 0.823 0.643
Tl1 0.000 0.000 0.000
Ag1 0.403 0.403 0.805
Ag2 0.597 0.597 0.195
Br1 0.091 0.591 0.182
Br2 0.306 0.306 0.609
Br3 0.409 0.909 0.818
Br4 0.500 0.500 0.000
Br5 0.591 0.091 0.182
Br6 0.694 0.694 0.391
Br7 0.909 0.409 0.818

=====

Simulated PXRD pattern
Compound: RbTl2AgBr4
Radiation: Cu Kα (weighted mean of Kα1 and Kα2)
Structure: the GGA-PBE geometry in Alexandria

Most intense lines, 15 to 90 degrees two-theta, in order of rising 2θ:
d_spacing	Position (°2θ)	I/Imax
3.916	22.7	36
3.463	25.7	29
3.390	26.3	43
3.197	27.9	100
3.062	29.2	43
2.661	33.7	40
2.363	38.1	21
2.350	38.3	43
2.313	38.9	32
1.958	46.4	24

Atomic structure:
abc: 8.170 8.170 16.631
angles: 90.00 90.00 147.11
Fractional positions:
Rb1 0.112 0.888 0.750
Rb2 0.888 0.112 0.250
Tl1 0.367 0.633 0.552
Tl2 0.367 0.633 0.948
Tl3 0.633 0.367 0.052
Tl4 0.633 0.367 0.448
Ag1 0.160 0.840 0.250
Ag2 0.840 0.160 0.750
Br1 0.000 0.000 0.000
Br2 0.000 0.000 0.500
Br3 0.277 0.723 0.128
Br4 0.277 0.723 0.372
Br5 0.436 0.564 0.750
Br6 0.564 0.436 0.250
Br7 0.723 0.277 0.628
Br8 0.723 0.277 0.872

=====

Simulated PXRD pattern
Compound: RbTmAgBr6
Radiation: Cu Kα (weighted mean of Kα1 and Kα2)
Structure: the GGA-PBE geometry in Alexandria

Most intense lines, 15 to 90 degrees two-theta, in order of rising 2θ:
d_spacing	Position (°2θ)	I/Imax
5.083	17.4	52
4.764	18.6	51
4.724	18.8	61
3.507	25.4	60
3.168	28.2	81
2.806	31.9	53
2.647	33.9	32
2.553	35.1	100
2.136	42.3	55
2.108	42.9	35

Atomic structure:
abc: 7.097 7.105 7.688
angles: 92.29 92.48 115.28
Fractional positions:
Rb1 0.000 0.000 0.000
Tm1 0.336 0.665 0.501
Ag1 0.681 0.320 0.501
Br1 0.025 0.358 0.682
Br2 0.031 0.624 0.261
Br3 0.379 0.968 0.742
Br4 0.405 0.371 0.286
Br5 0.630 0.593 0.716
Br6 0.642 0.976 0.319

=====

Simulated PXRD pattern
Compound: RbUAg2Br8
Radiation: Cu Kα (weighted mean of Kα1 and Kα2)
Structure: the GGA-PBE geometry in Alexandria

Most intense lines, 15 to 90 degrees two-theta, in order of rising 2θ:
d_spacing	Position (°2θ)	I/Imax
5.674	15.6	100
4.099	21.7	35
3.380	26.4	44
3.300	27.0	36
3.210	27.8	49
2.783	32.2	44
2.582	34.7	30
2.185	41.3	27
2.057	44.0	20
2.049	44.2	24

Atomic structure:
abc: 6.924 6.924 10.356
angles: 93.36 93.36 72.59
Fractional positions:
Rb1 0.000 0.000 0.000
U1 0.000 0.000 0.500
Ag1 0.268 0.268 0.731
Ag2 0.732 0.732 0.269
Br1 0.217 0.755 0.314
Br2 0.245 0.245 0.483
Br3 0.245 0.783 0.686
Br4 0.308 0.308 0.968
Br5 0.692 0.692 0.032
Br6 0.755 0.217 0.314
Br7 0.755 0.755 0.517
Br8 0.783 0.245 0.686

=====

Simulated PXRD pattern
Compound: RbYAgBr6
Radiation: Cu Kα (weighted mean of Kα1 and Kα2)
Structure: the GGA-PBE geometry in Alexandria

Most intense lines, 15 to 90 degrees two-theta, in order of rising 2θ:
d_spacing	Position (°2θ)	I/Imax
5.109	17.4	45
4.775	18.6	46
4.737	18.7	47
3.532	25.2	55
3.273	27.2	39
3.180	28.1	74
2.820	31.7	51
2.558	35.1	100
2.150	42.0	55
2.112	42.8	33

Atomic structure:
abc: 7.139 7.146 7.685
angles: 92.43 92.54 115.15
Fractional positions:
Rb1 0.000 0.000 0.000
Y1 0.335 0.666 0.501
Ag1 0.681 0.320 0.500
Br1 0.021 0.357 0.684
Br2 0.028 0.621 0.256
Br3 0.382 0.972 0.747
Br4 0.407 0.368 0.284
Br5 0.632 0.592 0.717
Br6 0.644 0.980 0.317